# Er5Sc2Bi5
Computed X-ray powder pattern, CuKα. Input: a DFT-relaxed cell (GGA-PBE, Alexandria).
Lines closer than 0.1° are merged.

Atomic structure:
```
data_Er5Sc2Bi5
_chemical_formula_sum 'Er15 Sc6 Bi15'
_cell_length_a 4.5470
_cell_length_b 4.5470
_cell_length_c 61.4120
_cell_angle_alpha 90.00
_cell_angle_beta 90.00
_cell_angle_gamma 120.00
_space_group_name_H-M_alt 'R -3 m'
_space_group_IT_number 166
_space_group_name_Hall '-R 3 2"'
loop_
_atom_site_label
_atom_site_fract_x
_atom_site_fract_y
_atom_site_fract_z
Er1 0.0000 0.0000 0.0000
Er2 0.0000 0.0000 0.1394
Er3 0.0000 0.0000 0.2803
Sc1 0.0000 0.0000 0.4212
Bi1 0.0000 0.0000 0.2240
Bi2 0.0000 0.0000 0.3615
Bi3 0.0000 0.0000 0.5000
```

Main lines, by angle (2θ from 15° to 90°):
hkl  d/Å  I (rel.)
0 1 8  3.504  50
0 1 14  2.930  92
1 1 0  2.275  100
2 0 14  1.796  23
1 1 36  1.364  21
3 0 0  1.313  25

---

# Ca2Cu3Sn4Pd
Computed X-ray powder pattern, CuKα. Input: a DFT-relaxed cell (GGA-PBE, Alexandria).
Lines closer than 0.1° are merged.

Atomic structure:
```
data_Ca2Cu3Sn4Pd
_chemical_formula_sum 'Ca2 Cu3 Sn4 Pd1'
_cell_length_a 4.557
_cell_length_b 4.557
_cell_length_c 10.638
_cell_angle_alpha 90.00
_cell_angle_beta 90.00
_cell_angle_gamma 90.00
_space_group_name_H-M_alt 'P -4 m 2'
_space_group_IT_number 115
_space_group_name_Hall 'P -4 -2'
loop_
_atom_site_label
_atom_site_fract_x
_atom_site_fract_y
_atom_site_fract_z
Ca1 0.000 0.500 0.238
Cu1 0.000 0.000 0.000
Cu2 0.000 0.500 0.633
Sn1 0.000 0.000 0.500
Sn2 0.000 0.500 0.871
Sn3 0.500 0.500 0.500
Pd1 0.500 0.500 0.000
```

Main lines, by angle (2θ from 15° to 90°):
hkl  d/Å  I (rel.)
0 0 2  5.319  43
1 0 1  4.189  39
1 0 3  2.798  40
1 1 2  2.756  100
2 0 0  2.278  82
1 1 4  2.051  80

---

# KSc3Se4O12
Computed X-ray powder pattern, CuKα. Input: a DFT-relaxed cell (GGA-PBE, Alexandria).
Lines closer than 0.1° are merged.

Atomic structure:
```
data_KSc3Se4O12
_chemical_formula_sum 'K3 Sc9 Se12 O36'
_cell_length_a 11.9404
_cell_length_b 11.9404
_cell_length_c 7.9187
_cell_angle_alpha 90.00
_cell_angle_beta 90.00
_cell_angle_gamma 120.00
_space_group_name_H-M_alt 'R 3 2'
_space_group_IT_number 155
_space_group_name_Hall 'R 3 2"'
loop_
_atom_site_label
_atom_site_fract_x
_atom_site_fract_y
_atom_site_fract_z
K1 0.0000 0.0000 0.0000
Sc1 0.0000 0.5737 0.0000
Se1 0.0000 0.0000 0.5000
Se2 0.0000 0.4290 0.5000
O1 0.0000 0.6208 0.5000
O2 0.0000 0.8411 0.5000
O3 0.0585 0.2580 0.1694
```

Main lines, by angle (2θ from 15° to 90°):
hkl  d/Å  I (rel.)
2 1 1  3.505  64
3 0 0  3.447  35
2 0 2  3.144  100
1 3 1  2.697  33
5 0 2  1.833  26
5 2 0  1.656  29

---

# K3Y3GeSe8
Computed X-ray powder pattern, CuKα. Input: a DFT-relaxed cell (GGA-PBE, Alexandria).
Lines closer than 0.1° are merged.

Atomic structure:
```
data_K3Y3GeSe8
_chemical_formula_sum 'K9 Y9 Ge3 Se24'
_cell_length_a 8.2223
_cell_length_b 8.2223
_cell_length_c 23.6121
_cell_angle_alpha 90.00
_cell_angle_beta 90.00
_cell_angle_gamma 120.00
_space_group_name_H-M_alt 'R -3 m'
_space_group_IT_number 166
_space_group_name_Hall '-R 3 2"'
loop_
_atom_site_label
_atom_site_fract_x
_atom_site_fract_y
_atom_site_fract_z
K1 0.0000 0.5000 0.0000
Y1 0.0000 0.5000 0.5000
Ge1 0.0000 0.0000 0.5000
Se1 0.0000 0.0000 0.2351
Se2 0.0242 0.5121 0.2309
```

Main lines, by angle (2θ from 15° to 90°):
hkl  d/Å  I (rel.)
0 2 4  3.049  100
0 2 7  2.449  24
2 0 8  2.272  31
2 2 0  2.056  34
2 0 11  1.838  14
4 0 4  1.704  16

---

# Tb2Zn3Sn
Computed X-ray powder pattern, CuKα. Input: a DFT-relaxed cell (GGA-PBE, Alexandria).
Lines closer than 0.1° are merged.

Atomic structure:
```
data_Tb2Zn3Sn
_chemical_formula_sum 'Tb16 Zn24 Sn8'
_cell_length_a 7.264
_cell_length_b 9.105
_cell_length_c 15.779
_cell_angle_alpha 90.00
_cell_angle_beta 90.00
_cell_angle_gamma 90.00
_space_group_name_H-M_alt 'F m m m'
_space_group_IT_number 69
_space_group_name_Hall '-F 2 2'
loop_
_atom_site_label
_atom_site_fract_x
_atom_site_fract_y
_atom_site_fract_z
Tb1 0.243 0.000 0.000
Tb2 0.250 0.250 0.250
Zn1 0.000 0.000 0.161
Zn2 0.000 0.243 0.080
Sn1 0.000 0.000 0.334
```

Main lines, by angle (2θ from 15° to 90°):
hkl  d/Å  I (rel.)
0 0 4  3.944  13
2 2 2  2.672  100
0 4 0  2.277  58
2 4 4  1.733  27
4 4 0  1.420  25
2 6 2  1.379  25

---

# Dy5CdHg4
Computed X-ray powder pattern, CuKα. Input: a DFT-relaxed cell (GGA-PBE, Alexandria).
Lines closer than 0.1° are merged.

Atomic structure:
```
data_Dy5CdHg4
_chemical_formula_sum 'Dy5 Cd1 Hg4'
_cell_length_a 3.722
_cell_length_b 3.722
_cell_length_c 18.668
_cell_angle_alpha 90.00
_cell_angle_beta 90.00
_cell_angle_gamma 90.00
_space_group_name_H-M_alt 'P 4/m m m'
_space_group_IT_number 123
_space_group_name_Hall '-P 4 2'
loop_
_atom_site_label
_atom_site_fract_x
_atom_site_fract_y
_atom_site_fract_z
Dy1 0.000 0.000 0.000
Dy2 0.000 0.000 0.199
Dy3 0.000 0.000 0.398
Cd1 0.500 0.500 0.500
Hg1 0.500 0.500 0.100
Hg2 0.500 0.500 0.301
```

Main lines, by angle (2θ from 15° to 90°):
hkl  d/Å  I (rel.)
1 1 0  2.634  100
2 0 0  1.861  12
1 1 10  1.523  13
2 1 5  1.520  25
2 0 10  1.318  8
3 1 0  1.177  11

---

# BaZn2B2O6
Computed X-ray powder pattern, CuKα. Input: a DFT-relaxed cell (GGA-PBE, Alexandria).
Lines closer than 0.1° are merged.

Atomic structure:
```
data_BaZn2B2O6
_chemical_formula_sum 'Ba4 Zn8 B8 O24'
_cell_length_a 4.983
_cell_length_b 9.569
_cell_length_c 12.229
_cell_angle_alpha 90.00
_cell_angle_beta 90.00
_cell_angle_gamma 90.00
_space_group_name_H-M_alt 'P 21 21 21'
_space_group_IT_number 19
_space_group_name_Hall 'P 2ac 2ab'
loop_
_atom_site_label
_atom_site_fract_x
_atom_site_fract_y
_atom_site_fract_z
Ba1 0.032 0.097 0.269
Zn1 0.050 0.132 0.603
Zn2 0.058 0.341 0.032
B1 0.041 0.167 0.833
B2 0.061 0.411 0.509
O1 0.033 0.833 0.904
O2 0.087 0.592 0.747
O3 0.088 0.942 0.082
O4 0.112 0.748 0.593
O5 0.169 0.539 0.014
O6 0.182 0.829 0.340
```

Main lines, by angle (2θ from 15° to 90°):
hkl  d/Å  I (rel.)
1 1 1  4.156  28
1 2 0  3.451  28
1 0 3  3.155  34
0 2 3  3.103  62
1 2 2  3.005  100
2 0 0  2.491  29

---

# K2CeCuCl8
Computed X-ray powder pattern, CuKα. Input: a DFT-relaxed cell (GGA-PBE, Alexandria).
Lines closer than 0.1° are merged.

Atomic structure:
```
data_K2CeCuCl8
_chemical_formula_sum 'K2 Ce1 Cu1 Cl8'
_cell_length_a 7.044
_cell_length_b 7.590
_cell_length_c 8.147
_cell_angle_alpha 74.68
_cell_angle_beta 71.99
_cell_angle_gamma 69.56
_space_group_name_H-M_alt 'P -1'
_space_group_IT_number 2
_space_group_name_Hall '-P 1'
loop_
_atom_site_label
_atom_site_fract_x
_atom_site_fract_y
_atom_site_fract_z
K1 0.102 0.151 0.168
Ce1 0.500 0.500 0.500
Cu1 0.500 0.500 0.000
Cl1 0.225 0.416 0.787
Cl2 0.280 0.857 0.483
Cl3 0.293 0.453 0.290
Cl4 0.318 0.809 0.960
```

Main lines, by angle (2θ from 15° to 90°):
hkl  d/Å  I (rel.)
1 1 0  5.612  100
1 1 2  3.843  36
2 1 2  3.041  67
1 0 -2  2.978  35
2 2 2  2.771  39
1 1 -2  2.739  45